The following is a simulated X-ray powder pattern of Sm2BPPt6. It was derived from a PBE-relaxed structure, using copper Kα.
Lines closer than 0.1° are merged.

Structural model:
```
Sm2BPPt6
1.0
5.761 0.000 0.000
0.000 8.443 0.000
0.000 0.000 7.349
Sm B P Pt
4 2 2 12
direct
0.250 0.029 0.226
0.250 0.471 0.226
0.750 0.529 0.774
0.750 0.971 0.774
0.250 0.250 0.710
0.750 0.750 0.290
0.250 0.750 0.816
0.750 0.250 0.184
0.006 0.750 0.494
0.008 0.250 0.936
0.250 0.504 0.662
0.250 0.996 0.662
0.492 0.250 0.936
0.494 0.750 0.494
0.506 0.250 0.506
0.508 0.750 0.064
0.750 0.004 0.338
0.750 0.496 0.338
0.992 0.750 0.064
0.994 0.250 0.506
```

Main lines, by intensity (2θ from 5° to 70°):
| d_spacing | intensity | hkl |
| --- | --- | --- |
| 2.379 | 100.0 | 2 2 0 |
| 2.772 | 88.5 | 0 2 2 |
| 2.267 | 61.3 | 2 0 2 |
| 2.111 | 36.4 | 0 4 0 |
| 1.545 | 30.7 | 2 4 2 |
| 2.498 | 25.2 | 1 2 2 |
| 3.098 | 16.8 | 1 0 2 |
| 7.349 | 12.0 | 0 0 1 |
| 1.440 | 11.9 | 4 0 0 |
| 2.353 | 10.4 | 0 1 3 |